Diffraction record for CaSnPbCl6. The XRD peak list is calculated, not measured: it uses a cell relaxed with GGA-PBE and Cu Kα.
Peak positions follow from Bragg's law for the DFT cell and can differ from measured ones.

Principal peaks in the range 5 to 70 degrees two-theta, by intensity:
Position (°2θ)  d/Å  I (rel.)
18.85  4.707  100
36.61  2.454  88
24.50  3.634  60
45.94  1.975  38
14.95  5.926  35
38.24  2.354  27
46.09  1.969  20
27.97  3.189  20

Atomic structure:
```
data_CaSnPbCl6
_space_group_name_H-M_alt 'P 1'
_space_group_IT_number 1
_cell_length_a 6.6574
_cell_length_b 6.6574
_cell_length_c 13.0094
_cell_angle_alpha 90.00
_cell_angle_beta 90.00
_cell_angle_gamma 90.00
loop_
_space_group_symop_operation_xyz
'x,y,z'
loop_
_atom_site_label
_atom_site_type_symbol
_atom_site_fract_x
_atom_site_fract_y
_atom_site_fract_z
_atom_site_occupancy
Ca1 Ca 0.0000 0.0000 0.0000 1
Ca2 Ca 0.5000 0.5000 0.5000 1
Sn1 Sn 0.0000 0.0000 0.6665 1
Sn2 Sn 0.5000 0.5000 0.1665 1
Pb1 Pb 0.0000 0.0000 0.3331 1
Pb2 Pb 0.5000 0.5000 0.8331 1
Cl1 Cl 0.1902 0.1902 0.8376 1
Cl2 Cl 0.1950 0.1950 0.1596 1
Cl3 Cl 0.2052 0.2052 0.5020 1
Cl4 Cl 0.2948 0.7052 0.0020 1
Cl5 Cl 0.3050 0.6950 0.6596 1
Cl6 Cl 0.3098 0.6902 0.3376 1
Cl7 Cl 0.6902 0.3098 0.3376 1
Cl8 Cl 0.6950 0.3050 0.6596 1
Cl9 Cl 0.7052 0.2948 0.0020 1
Cl10 Cl 0.7948 0.7948 0.5020 1
Cl11 Cl 0.8050 0.8050 0.1596 1
Cl12 Cl 0.8098 0.8098 0.8376 1
```


Diffraction record for La4CeEr. The XRD peak list is calculated, not measured: it uses a cell relaxed with GGA-PBE and Cu Kα.
Peak positions follow from Bragg's law for the DFT cell and can differ from measured ones.

Principal peaks in the range 5 to 70 degrees two-theta, by intensity:
Position (°2θ)  d/Å  I (rel.)
27.06  3.295  100
30.27  2.953  94
30.59  2.922  87
30.71  2.911  86
34.75  2.581  77
34.83  2.576  75
41.04  2.199  65
52.49  1.743  50

Atomic structure:
```
data_La4CeEr
_space_group_name_H-M_alt 'P 1'
_space_group_IT_number 1
_cell_length_a 6.0998
_cell_length_b 6.0998
_cell_length_c 11.6453
_cell_angle_alpha 117.85
_cell_angle_beta 117.85
_cell_angle_gamma 33.22
loop_
_space_group_symop_operation_xyz
'x,y,z'
loop_
_atom_site_label
_atom_site_type_symbol
_atom_site_fract_x
_atom_site_fract_y
_atom_site_fract_z
_atom_site_occupancy
La1 La 0.1602 0.1602 0.3361 1
La2 La 0.3404 0.3404 0.1566 1
La3 La 0.6596 0.6596 0.8434 1
La4 La 0.8398 0.8398 0.6639 1
Ce1 Ce 0.0000 0.0000 0.0000 1
Er1 Er 0.5000 0.5000 0.5000 1
```


Diffraction record for Ba2PuFe2N6. The XRD peak list is calculated, not measured: it uses a cell relaxed with GGA-PBE and Cu Kα.
Peak positions follow from Bragg's law for the DFT cell and can differ from measured ones.

Principal peaks in the range 5 to 70 degrees two-theta, by intensity:
Position (°2θ)  d/Å  I (rel.)
29.97  2.981  100
27.28  3.269  66
31.65  2.827  50
40.97  2.203  35
58.07  1.589  28
51.59  1.772  24
17.96  4.938  21
54.28  1.690  21

Atomic structure:
```
data_Ba2PuFe2N6
_space_group_name_H-M_alt 'P 1'
_space_group_IT_number 1
_cell_length_a 6.6003
_cell_length_b 6.6003
_cell_length_c 6.6003
_cell_angle_alpha 53.70
_cell_angle_beta 53.70
_cell_angle_gamma 53.70
loop_
_space_group_symop_operation_xyz
'x,y,z'
loop_
_atom_site_label
_atom_site_type_symbol
_atom_site_fract_x
_atom_site_fract_y
_atom_site_fract_z
_atom_site_occupancy
Ba1 Ba 0.2320 0.2320 0.2320 1
Ba2 Ba 0.7680 0.7680 0.7680 1
Pu1 Pu 0.0000 0.0000 0.0000 1
Fe1 Fe 0.4325 0.4325 0.4325 1
Fe2 Fe 0.5675 0.5675 0.5675 1
N1 N 0.2472 0.2472 0.7304 1
N2 N 0.2472 0.7304 0.2472 1
N3 N 0.2696 0.7528 0.7528 1
N4 N 0.7304 0.2472 0.2472 1
N5 N 0.7528 0.2696 0.7528 1
N6 N 0.7528 0.7528 0.2696 1
```